Entry 1:
Diffraction record for SmAl3Br12. The powder diffractogram is simulated, not measured: it uses a crystal structure in Alexandria, relaxed with PBE and Cu Ka.
No peak broadening, texture or thermal motion is included.

Top 12 peaks for 10° ≤ 2θ ≤ 80°, in order of rising 2θ:
2θ = 10.33°, rel. 100; 2θ = 13.15°, rel. 27; 2θ = 15.98°, rel. 18; 2θ = 23.30°, rel. 19; 2θ = 24.77°, rel. 17; 2θ = 24.98°, rel. 23; 2θ = 26.48°, rel. 19; 2θ = 28.38°, rel. 39; 2θ = 29.46°, rel. 17; 2θ = 30.11°, rel. 27; 2θ = 33.68°, rel. 25; 2θ = 36.81°, rel. 16

Crystal structure
Unit cell a=11.0899 b=11.0899 c=18.8785 alpha=90.00 beta=90.00 gamma=120.00
Fractional positions:
Sm: 0.0000 0.7540 0.1667
Sm: 0.2460 0.2460 0.5000
Sm: 0.7540 0.0000 0.8333
Al: 0.0000 0.0706 0.6667
Al: 0.0706 0.0000 0.3333
Al: 0.2832 0.6613 0.2338
Al: 0.3387 0.6219 0.5671
Al: 0.3781 0.7168 0.9004
Al: 0.6219 0.3387 0.4329
Al: 0.6613 0.2832 0.7662
Al: 0.7168 0.3781 0.0996
Al: 0.9294 0.9294 0.0000
Br: 0.0390 0.2069 0.7679
Br: 0.0476 0.1876 0.3693
Br: 0.0653 0.6209 0.2833
Br: 0.1400 0.9524 0.0360
Br: 0.1679 0.9610 0.4346
Br: 0.1876 0.0476 0.6307
Br: 0.1910 0.7349 0.8673
Br: 0.2011 0.6634 0.6403
Br: 0.2069 0.0390 0.2321
Br: 0.2104 0.4910 0.4660
Br: 0.2651 0.4561 0.2007
Br: 0.2806 0.7896 0.1327
Br: 0.3366 0.5376 0.9736
Br: 0.3791 0.4444 0.6166
Br: 0.4444 0.3791 0.3834
Br: 0.4561 0.2651 0.7993
Br: 0.4624 0.7989 0.3069
Br: 0.4910 0.2104 0.5340
Br: 0.5090 0.7194 0.7993
Br: 0.5376 0.3366 0.0264
Br: 0.5439 0.8090 0.5340
Br: 0.5556 0.9347 0.9500
Br: 0.6209 0.0653 0.7167
Br: 0.6634 0.2011 0.3597
Br: 0.7194 0.5090 0.2007
Br: 0.7349 0.1910 0.1327
Br: 0.7896 0.2806 0.8673
Br: 0.7931 0.8321 0.1013
Br: 0.7989 0.4624 0.6931
Br: 0.8090 0.5439 0.4660
Br: 0.8124 0.8600 0.7027
Br: 0.8321 0.7931 0.8987
Br: 0.8600 0.8124 0.2973
Br: 0.9347 0.5556 0.0500
Br: 0.9524 0.1400 0.9640
Br: 0.9610 0.1679 0.5654

---

Entry 2:
Diffraction record for PaSbAs2N. The powder diffractogram is simulated, not measured: it uses a crystal structure in Alexandria, relaxed with PBE and Cu Ka.
No peak broadening, texture or thermal motion is included.

Top 12 peaks for 10° ≤ 2θ ≤ 80°, in order of rising 2θ:
2θ = 24.18°, rel. 33; 2θ = 25.98°, rel. 50; 2θ = 29.37°, rel. 76; 2θ = 32.68°, rel. 100; 2θ = 33.58°, rel. 21; 2θ = 38.39°, rel. 51; 2θ = 41.06°, rel. 40; 2θ = 46.88°, rel. 41; 2θ = 56.29°, rel. 25; 2θ = 61.53°, rel. 19; 2θ = 62.14°, rel. 25; 2θ = 77.95°, rel. 19

Crystal structure
Unit cell a=3.8757 b=3.8757 c=14.7221 alpha=90.00 beta=90.00 gamma=90.00
Fractional positions:
Pa: 0.2500 0.2500 0.0829
Pa: 0.7500 0.7500 0.9171
Sb: 0.2500 0.2500 0.6403
Sb: 0.7500 0.7500 0.3597
As: 0.2500 0.2500 0.4121
As: 0.2500 0.2500 0.8214
As: 0.7500 0.7500 0.1786
As: 0.7500 0.7500 0.5879
N: 0.2500 0.7500 0.0000
N: 0.7500 0.2500 0.0000

---

Entry 3:
Diffraction record for Hf3ZrSc2. The powder diffractogram is simulated, not measured: it uses a crystal structure in Alexandria, relaxed with PBE and Cu Ka.
No peak broadening, texture or thermal motion is included.

Top 12 peaks for 10° ≤ 2θ ≤ 80°, in order of rising 2θ:
2θ = 10.51°, rel. 38; 2θ = 13.62°, rel. 21; 2θ = 33.11°, rel. 16; 2θ = 33.30°, rel. 50; 2θ = 35.09°, rel. 44; 2θ = 36.53°, rel. 45; 2θ = 36.69°, rel. 100; 2θ = 41.83°, rel. 15; 2θ = 56.95°, rel. 21; 2θ = 64.00°, rel. 19; 2θ = 68.68°, rel. 24; 2θ = 69.88°, rel. 13

Crystal structure
Unit cell a=8.5693 b=8.5693 c=10.2284 alpha=90.00 beta=90.00 gamma=158.36
Fractional positions:
Hf: 0.1133 0.8867 0.7500
Hf: 0.3312 0.6688 0.0022
Hf: 0.3312 0.6688 0.4978
Hf: 0.6688 0.3312 0.5022
Hf: 0.6688 0.3312 0.9978
Hf: 0.8867 0.1133 0.2500
Zr: 0.2219 0.7781 0.2500
Zr: 0.7781 0.2219 0.7500
Sc: 0.0000 0.0000 0.0000
Sc: 0.0000 0.0000 0.5000
Sc: 0.4435 0.5565 0.7500
Sc: 0.5565 0.4435 0.2500

---

Entry 4:
Diffraction record for Rb2TmAsS4. The powder diffractogram is simulated, not measured: it uses a crystal structure in Alexandria, relaxed with PBE and Cu Ka.
No peak broadening, texture or thermal motion is included.

Top 12 peaks for 10° ≤ 2θ ≤ 80°, in order of rising 2θ:
2θ = 14.30°, rel. 77; 2θ = 14.59°, rel. 89; 2θ = 15.20°, rel. 39; 2θ = 23.20°, rel. 37; 2θ = 24.73°, rel. 36; 2θ = 25.25°, rel. 100; 2θ = 29.45°, rel. 66; 2θ = 29.76°, rel. 74; 2θ = 33.30°, rel. 31; 2θ = 35.07°, rel. 59; 2θ = 43.39°, rel. 42; 2θ = 46.79°, rel. 41

Crystal structure
Unit cell a=14.1146 b=12.5818 c=7.9203 alpha=83.72 beta=62.38 gamma=33.90
Fractional positions:
Rb: 0.0573 0.0573 0.6927
Rb: 0.3073 0.3073 0.9427
Rb: 0.6927 0.6927 0.0573
Rb: 0.9427 0.9427 0.3073
Tm: 0.1250 0.1250 0.1250
Tm: 0.8750 0.8750 0.8750
As: 0.3750 0.3750 0.3750
As: 0.6250 0.6250 0.6250
S: 0.0197 0.3339 0.4268
S: 0.2804 0.5732 0.6661
S: 0.3339 0.0197 0.7196
S: 0.4268 0.7196 0.0197
S: 0.5732 0.2804 0.9803
S: 0.6661 0.9803 0.2804
S: 0.7196 0.4268 0.3339
S: 0.9803 0.6661 0.5732

---

Entry 5:
Diffraction record for Sm3Er4Hg4. The powder diffractogram is simulated, not measured: it uses a crystal structure in Alexandria, relaxed with PBE and Cu Ka.
No peak broadening, texture or thermal motion is included.

Top 12 peaks for 10° ≤ 2θ ≤ 80°, in order of rising 2θ:
2θ = 29.51°, rel. 28; 2θ = 29.76°, rel. 100; 2θ = 30.51°, rel. 50; 2θ = 32.68°, rel. 31; 2θ = 33.59°, rel. 20; 2θ = 36.23°, rel. 47; 2θ = 40.30°, rel. 53; 2θ = 40.88°, rel. 25; 2θ = 47.39°, rel. 15; 2θ = 60.51°, rel. 12; 2θ = 61.22°, rel. 14; 2θ = 67.24°, rel. 14

Crystal structure
Unit cell a=9.4214 b=9.4214 c=9.4214 alpha=149.48 beta=131.41 gamma=58.47
Fractional positions:
Sm: 0.0000 0.0000 0.0000
Sm: 0.3907 0.8907 0.5000
Sm: 0.6093 0.1093 0.5000
Er: 0.0415 0.3254 0.7162
Er: 0.3908 0.6746 0.7162
Er: 0.6092 0.3254 0.2838
Er: 0.9585 0.6746 0.2838
Hg: 0.2067 0.2067 0.0000
Hg: 0.3027 0.5000 0.8027
Hg: 0.6973 0.5000 0.1973
Hg: 0.7933 0.7933 0.0000

---

Entry 6:
Diffraction record for Ca4MgS5. The powder diffractogram is simulated, not measured: it uses a crystal structure in Alexandria, relaxed with PBE and Cu Ka.
No peak broadening, texture or thermal motion is included.

Top 12 peaks for 10° ≤ 2θ ≤ 80°, in order of rising 2θ:
2θ = 27.45°, rel. 2; 2θ = 31.63°, rel. 52; 2θ = 31.89°, rel. 100; 2θ = 32.96°, rel. 1; 2θ = 45.53°, rel. 67; 2θ = 45.72°, rel. 33; 2θ = 56.66°, rel. 32; 2θ = 66.06°, rel. 5; 2θ = 66.66°, rel. 9; 2θ = 75.24°, rel. 14; 2θ = 75.68°, rel. 19; 2θ = 75.86°, rel. 7

Crystal structure
Unit cell a=10.5137 b=10.5137 c=10.5137 alpha=158.26 beta=148.78 gamma=38.36
Fractional positions:
Ca: 0.0981 0.0981 0.0000
Ca: 0.3031 0.3031 0.0000
Ca: 0.6969 0.6969 0.0000
Ca: 0.9019 0.9019 0.0000
Mg: 0.5000 0.5000 0.0000
S: 0.0000 0.5000 0.5000
S: 0.2009 0.7009 0.5000
S: 0.4082 0.9082 0.5000
S: 0.5918 0.0918 0.5000
S: 0.7991 0.2991 0.5000